Starting from the GGA+U geometry in the Materials Project, the powder diffraction line list of TiMn2O6 was simulated for Cu Kα.
Peak positions follow from Bragg's law for the DFT cell and can differ from measured ones.

Main lines, by angle (15° ≤ 2θ ≤ 90°):
18.29 deg, intensity 100.0; 36.41 deg, intensity 27.1; 39.95 deg, intensity 22.2; 45.28 deg, intensity 29.8; 52.06 deg, intensity 12.2; 59.89 deg, intensity 14.7; 63.98 deg, intensity 14.8; 86.16 deg, intensity 6.3

Lattice parameters (Å, degrees): 5.103 5.103 9.700 90.00 90.00 59.92
Element x y z (fractional)
1 Ti 0.000 0.000 0.000
2 Ti 0.500 0.500 0.500
3 Mn 0.167 0.167 0.500
4 Mn 0.333 0.333 0.000
5 Mn 0.667 0.667 0.000
6 Mn 0.833 0.833 0.500
7 O 0.000 0.339 0.099
8 O 0.000 0.661 0.901
9 O 0.160 0.840 0.600
10 O 0.161 0.500 0.401
11 O 0.339 0.000 0.901
12 O 0.340 0.660 0.100
13 O 0.500 0.161 0.599
14 O 0.500 0.839 0.401
15 O 0.660 0.340 0.900
16 O 0.661 0.000 0.099
17 O 0.839 0.500 0.599
18 O 0.840 0.160 0.400

=====

Starting from the GGA+U geometry in the Materials Project, the powder diffraction line list of K2MgFe4P6O16F12 was simulated for Cu Kα.
Peak positions follow from Bragg's law for the DFT cell and can differ from measured ones.

Main lines, by angle (15° ≤ 2θ ≤ 90°):
16.37 deg, intensity 47.1; 22.87 deg, intensity 36.8; 25.23 deg, intensity 26.0; 25.51 deg, intensity 42.3; 25.85 deg, intensity 100.0; 26.05 deg, intensity 43.7; 26.37 deg, intensity 93.0; 26.99 deg, intensity 78.5

Lattice parameters (Å, degrees): 7.778 7.875 10.612 77.09 69.37 89.27
Element x y z (fractional)
1 K 0.000 0.000 0.000
2 K 0.432 0.762 0.549
3 Mg 0.628 0.112 0.629
4 Fe 0.251 0.891 0.268
5 Fe 0.597 0.572 0.123
6 Fe 0.763 0.406 0.793
7 Fe 0.988 0.226 0.426
8 P 0.203 0.295 0.633
9 P 0.333 0.489 0.948
10 P 0.565 0.159 0.316
11 P 0.569 0.980 0.959
12 P 0.910 0.631 0.270
13 P 0.952 0.813 0.600
14 O 0.059 0.355 0.745
15 O 0.063 0.777 0.218
16 O 0.117 0.788 0.476
17 O 0.174 0.224 0.524
18 O 0.380 0.534 0.062
19 O 0.380 0.997 0.062
20 O 0.438 0.016 0.315
21 O 0.471 0.430 0.831
22 O 0.530 0.346 0.263
23 O 0.590 0.123 0.456
24 O 0.660 0.813 0.990
25 O 0.703 0.139 0.897
26 O 0.807 0.647 0.171
27 O 0.816 0.658 0.678
28 O 0.856 0.982 0.568
29 O 0.967 0.452 0.316
30 F 0.049 0.849 0.704
31 F 0.104 0.093 0.279
32 F 0.158 0.358 0.013
33 F 0.244 0.653 0.883
34 F 0.311 0.152 0.707
35 F 0.372 0.436 0.561
36 F 0.412 0.692 0.262
37 F 0.514 0.960 0.820
38 F 0.752 0.470 0.978
39 F 0.763 0.130 0.210
40 F 0.763 0.676 0.407
41 F 0.772 0.310 0.611

=====

Starting from the GGA+U geometry in the Materials Project, the powder diffraction line list of NaLiV2O6 was simulated for Cu Kα.
Peak positions follow from Bragg's law for the DFT cell and can differ from measured ones.

Main lines, by angle (15° ≤ 2θ ≤ 90°):
17.95 deg, intensity 61.1; 25.03 deg, intensity 95.3; 27.39 deg, intensity 100.0; 27.89 deg, intensity 30.9; 28.76 deg, intensity 38.1; 30.88 deg, intensity 25.6; 32.22 deg, intensity 46.0; 34.21 deg, intensity 23.1

Lattice parameters (Å, degrees): 7.022 7.026 11.873 74.66 74.67 82.51
Element x y z (fractional)
1 Na 0.000 0.000 0.000
2 Na 0.005 0.995 0.501
3 Na 0.367 0.630 0.001
4 Na 0.568 0.429 0.749
5 Li 0.193 0.806 0.254
6 Li 0.194 0.808 0.747
7 Li 0.378 0.620 0.500
8 Li 0.533 0.468 0.254
9 V 0.085 0.334 0.752
10 V 0.092 0.326 0.256
11 V 0.483 0.091 0.000
12 V 0.486 0.100 0.496
13 V 0.669 0.908 0.249
14 V 0.670 0.914 0.744
15 V 0.905 0.515 0.004
16 V 0.905 0.516 0.501
17 O 0.063 0.697 0.944
18 O 0.073 0.690 0.448
19 O 0.185 0.092 0.282
20 O 0.188 0.103 0.776
21 O 0.261 0.501 0.698
22 O 0.275 0.485 0.213
23 O 0.302 0.932 0.059
24 O 0.311 0.933 0.551
25 O 0.382 0.320 0.969
26 O 0.385 0.332 0.470
27 O 0.505 0.739 0.791
28 O 0.508 0.725 0.299
29 O 0.634 0.070 0.351
30 O 0.635 0.062 0.855
31 O 0.644 0.063 0.103
32 O 0.646 0.071 0.599
33 O 0.674 0.619 0.524
34 O 0.675 0.614 0.039
35 O 0.902 0.813 0.720
36 O 0.903 0.813 0.224
37 O 0.926 0.365 0.649
38 O 0.931 0.358 0.899
39 O 0.935 0.352 0.400
40 O 0.945 0.366 0.147

=====

Starting from the GGA+U geometry in the Materials Project, the powder diffraction line list of MgZn2Fe4O8 was simulated for Cu Kα.
Peak positions follow from Bragg's law for the DFT cell and can differ from measured ones.

Main lines, by angle (15° ≤ 2θ ≤ 90°):
27.75 deg, intensity 39.8; 33.15 deg, intensity 75.7; 34.03 deg, intensity 51.7; 34.15 deg, intensity 100.0; 34.36 deg, intensity 55.0; 34.75 deg, intensity 35.1; 46.06 deg, intensity 33.3; 53.29 deg, intensity 43.7

Lattice parameters (Å, degrees): 6.197 6.197 6.197 121.04 117.49 91.30
Element x y z (fractional)
1 Mg 0.000 0.000 0.000
2 Zn 0.238 0.514 0.277
3 Zn 0.238 0.961 0.723
4 Fe 0.131 0.422 0.710
5 Fe 0.593 0.093 0.500
6 Fe 0.685 0.685 0.000
7 Fe 0.712 0.422 0.290
8 O 0.352 0.651 0.701
9 O 0.387 0.177 0.210
10 O 0.464 0.225 0.761
11 O 0.464 0.702 0.239
12 O 0.869 0.129 0.260
13 O 0.869 0.609 0.740
14 O 0.950 0.651 0.299
15 O 0.968 0.177 0.790

=====

Starting from the GGA+U geometry in the Materials Project, the powder diffraction line list of Li9Mn2Co5O16 was simulated for Cu Kα.
Peak positions follow from Bragg's law for the DFT cell and can differ from measured ones.

Main lines, by angle (15° ≤ 2θ ≤ 90°):
18.32 deg, intensity 100.0; 35.77 deg, intensity 13.7; 35.97 deg, intensity 13.6; 36.24 deg, intensity 13.0; 37.56 deg, intensity 7.6; 43.25 deg, intensity 28.0; 43.44 deg, intensity 27.5; 43.99 deg, intensity 26.7

Lattice parameters (Å, degrees): 5.140 5.854 9.703 89.12 79.59 89.56
Element x y z (fractional)
1 Li 0.000 0.000 0.000
2 Li 0.001 0.250 0.500
3 Li 0.246 0.501 0.248
4 Li 0.247 0.996 0.246
5 Li 0.498 0.760 0.002
6 Li 0.502 0.240 0.998
7 Li 0.753 0.004 0.754
8 Li 0.754 0.499 0.752
9 Li 0.999 0.750 0.500
10 Mn 0.255 0.249 0.755
11 Mn 0.745 0.751 0.245
12 Co 0.000 0.500 0.000
13 Co 0.244 0.753 0.759
14 Co 0.500 0.000 0.500
15 Co 0.500 0.500 0.500
16 Co 0.756 0.247 0.241
17 O 0.084 0.736 0.127
18 O 0.092 0.267 0.127
19 O 0.138 0.014 0.636
20 O 0.153 0.491 0.627
21 O 0.375 0.010 0.865
22 O 0.376 0.486 0.865
23 O 0.396 0.241 0.379
24 O 0.398 0.749 0.374
25 O 0.602 0.251 0.626
26 O 0.604 0.759 0.621
27 O 0.624 0.514 0.135
28 O 0.625 0.990 0.135
29 O 0.847 0.509 0.373
30 O 0.862 0.986 0.364
31 O 0.908 0.733 0.873
32 O 0.916 0.264 0.873

=====

Starting from the GGA+U geometry in the Materials Project, the powder diffraction line list of ZnCr2P2O9 was simulated for Cu Kα.
Peak positions follow from Bragg's law for the DFT cell and can differ from measured ones.

Main lines, by angle (15° ≤ 2θ ≤ 90°):
17.38 deg, intensity 28.5; 24.08 deg, intensity 23.3; 24.91 deg, intensity 100.0; 28.39 deg, intensity 38.1; 31.55 deg, intensity 38.8; 34.00 deg, intensity 32.4; 36.99 deg, intensity 22.8; 39.75 deg, intensity 23.0

Lattice parameters (Å, degrees): 14.112 6.288 7.391 90.00 90.00 90.00
Element x y z (fractional)
1 Zn 0.224 0.250 0.066
2 Zn 0.276 0.750 0.566
3 Zn 0.724 0.250 0.434
4 Zn 0.776 0.750 0.934
5 Cr 0.000 0.000 0.000
6 Cr 0.000 0.500 0.000
7 Cr 0.122 0.250 0.643
8 Cr 0.378 0.750 0.143
9 Cr 0.500 0.000 0.500
10 Cr 0.500 0.500 0.500
11 Cr 0.622 0.250 0.857
12 Cr 0.878 0.750 0.357
13 P 0.072 0.750 0.637
14 P 0.193 0.750 0.112
15 P 0.307 0.250 0.612
16 P 0.428 0.250 0.137
17 P 0.572 0.750 0.863
18 P 0.693 0.750 0.388
19 P 0.807 0.250 0.888
20 P 0.928 0.250 0.363
21 O 0.003 0.250 0.507
22 O 0.024 0.750 0.829
23 O 0.053 0.250 0.870
24 O 0.134 0.539 0.107
25 O 0.134 0.961 0.107
26 O 0.142 0.562 0.626
27 O 0.142 0.938 0.626
28 O 0.232 0.250 0.458
29 O 0.245 0.250 0.790
30 O 0.255 0.750 0.290
31 O 0.268 0.750 0.958
32 O 0.358 0.062 0.126
33 O 0.358 0.438 0.126
34 O 0.366 0.039 0.607
35 O 0.366 0.461 0.607
36 O 0.447 0.750 0.370
37 O 0.476 0.250 0.329
38 O 0.497 0.750 0.007
39 O 0.503 0.250 0.993
40 O 0.524 0.750 0.671
41 O 0.553 0.250 0.630
42 O 0.634 0.539 0.393
43 O 0.634 0.961 0.393
44 O 0.642 0.562 0.874
45 O 0.642 0.938 0.874
46 O 0.732 0.250 0.042
47 O 0.745 0.250 0.710
48 O 0.755 0.750 0.210
49 O 0.768 0.750 0.542
50 O 0.858 0.062 0.374
51 O 0.858 0.438 0.374
52 O 0.866 0.039 0.893
53 O 0.866 0.461 0.893
54 O 0.947 0.750 0.130
55 O 0.976 0.250 0.171
56 O 0.997 0.750 0.493

=====

Copy entry 1 word for word.
Starting from the GGA+U geometry in the Materials Project, the powder diffraction line list of TiMn2O6 was simulated for Cu Kα.
Peak positions follow from Bragg's law for the DFT cell and can differ from measured ones.

Main lines, by angle (15° ≤ 2θ ≤ 90°):
18.29 deg, intensity 100.0; 36.41 deg, intensity 27.1; 39.95 deg, intensity 22.2; 45.28 deg, intensity 29.8; 52.06 deg, intensity 12.2; 59.89 deg, intensity 14.7; 63.98 deg, intensity 14.8; 86.16 deg, intensity 6.3

Lattice parameters (Å, degrees): 5.103 5.103 9.700 90.00 90.00 59.92
Element x y z (fractional)
1 Ti 0.000 0.000 0.000
2 Ti 0.500 0.500 0.500
3 Mn 0.167 0.167 0.500
4 Mn 0.333 0.333 0.000
5 Mn 0.667 0.667 0.000
6 Mn 0.833 0.833 0.500
7 O 0.000 0.339 0.099
8 O 0.000 0.661 0.901
9 O 0.160 0.840 0.600
10 O 0.161 0.500 0.401
11 O 0.339 0.000 0.901
12 O 0.340 0.660 0.100
13 O 0.500 0.161 0.599
14 O 0.500 0.839 0.401
15 O 0.660 0.340 0.900
16 O 0.661 0.000 0.099
17 O 0.839 0.500 0.599
18 O 0.840 0.160 0.400